# Mo3H12C4NO10
Calculated X-ray powder pattern, Cu Kα. Input: the GGA+U geometry in Alexandria.
Lines closer than 0.1° are merged.

Principal peaks in the range 2θ from 5° to 70°, low angle first:
| (hkl) | d (Å) | I (rel.) |
| --- | --- | --- |
| 1 1 1 | 8.366 | 100 |
| 2 0 0 | 7.245 | 35 |
| 2 2 2 | 4.183 | 23 |
| 3 3 1 | 3.324 | 25 |
| 6 0 0 | 2.415 | 21 |
| 7 1 1 | 2.029 | 13 |

Cell and atoms:
abc: 14.4899 14.4899 14.4899
angles: 90.00 90.00 90.00
Space group Fm-3m (No. 225)
Symmetry-distinct sites (fractional):
Mo1 0.0000 0.0000 0.1625 x24
H1 0.1470 0.1470 0.2654 x96
C1 0.1901 0.1901 0.3099 x32
N1 0.2500 0.2500 0.2500 x8
O1 0.0000 0.0000 0.0000 x4
O2 0.0000 0.0000 0.2808 x24
O3 0.0000 0.0000 0.5000 x4
O4 0.0000 0.1316 0.1316 x48